# CeCu5Cl12
Computed X-ray diffraction stick pattern, Cu Kα. Input: a cell relaxed with PBE.
Peak positions follow from Bragg's law for the DFT cell and can differ from measured ones.

Top 10 peaks for 10 to 80 degrees two-theta, most intense first:
| 2θ (°) | I (rel.) | h k l |
| --- | --- | --- |
| 13.3 | 100 | 0 0 2 |
| 31.9 | 14 | 1 1 2 |
| 28.8 | 11 | 1 1 1 |
| 37.8 | 10 | 1 -2 4 |
| 30.5 | 10 | 2 -1 1 |
| 27.0 | 9 | 1 1 0 |
| 33.0 | 9 | 2 -1 2 |
| 22.0 | 8 | 1 0 2 |
| 54.4 | 8 | 3 0 -4 |
| 50.1 | 8 | 3 0 -2 |

Structural model:
```
CeCu5Cl12
1.0
6.0894 0.0000 0.0000
-2.6052 5.6906 0.0000
-0.7678 -1.8272 13.3447
Ce Cu Cl
1 5 12
Direct
0.0000 0.0000 0.0000
0.0000 0.0000 0.5000
0.2668 0.5414 0.9413
0.3332 0.6662 0.5000
0.6668 0.3338 0.5000
0.7332 0.4586 0.0587
0.0839 0.7588 0.6024
0.1211 0.4414 0.0984
0.2076 0.1997 0.8466
0.2491 0.9071 0.3976
0.4182 0.4268 0.6025
0.4404 0.1301 0.1028
0.5596 0.8699 0.8972
0.5818 0.5732 0.3975
0.7509 0.0929 0.6024
0.7924 0.8003 0.1534
0.8789 0.5586 0.9016
0.9161 0.2412 0.3976
```


# Sr3In2N
Computed X-ray diffraction stick pattern, Cu Kα. Input: a cell relaxed with PBE.
Peak positions follow from Bragg's law for the DFT cell and can differ from measured ones.

Top 10 peaks for 10 to 80 degrees two-theta, most intense first:
| 2θ (°) | I (rel.) | h k l |
| --- | --- | --- |
| 29.3 | 100 | 2 0 1 |
| 34.2 | 54 | 1 1 2 |
| 52.8 | 41 | 2 1 3 |
| 26.4 | 40 | 2 0 0 |
| 22.8 | 37 | 1 1 0 |
| 28.4 | 35 | 1 0 2 |
| 46.5 | 33 | 2 2 0 |
| 40.4 | 28 | 1 0 3 |
| 47.8 | 26 | 3 0 2 |
| 65.7 | 18 | 3 2 2 |

Structural model:
```
Sr3In2N
1.0
7.8064 0.0000 0.0000
-3.9032 6.7606 0.0000
0.0000 0.0000 7.0923
Sr In N
6 4 2
Direct
0.1429 0.2858 0.2500
0.1429 0.8571 0.2500
0.2858 0.1429 0.7500
0.7142 0.8571 0.2500
0.8571 0.1429 0.7500
0.8571 0.7142 0.7500
0.3333 0.6667 0.5591
0.3333 0.6667 0.9409
0.6667 0.3333 0.0591
0.6667 0.3333 0.4409
0.0000 0.0000 0.0000
0.0000 0.0000 0.5000
```


# HfBe2O4
Computed X-ray diffraction stick pattern, Cu Kα. Input: a cell relaxed with PBE.
Peak positions follow from Bragg's law for the DFT cell and can differ from measured ones.

Top 10 peaks for 10 to 80 degrees two-theta, most intense first:
| 2θ (°) | I (rel.) | h k l |
| --- | --- | --- |
| 29.7 | 100 | 1 0 1 |
| 22.5 | 98 | 1 0 0 |
| 37.6 | 68 | 1 1 1 |
| 19.1 | 45 | 0 0 1 |
| 32.1 | 35 | 1 1 0 |
| 55.7 | 35 | 2 1 1 |
| 45.4 | 32 | 1 0 2 |
| 50.3 | 25 | 2 0 1 |
| 61.7 | 22 | 2 0 2 |
| 51.8 | 22 | 2 1 0 |

Structural model:
```
HfBe2O4
1.0
3.9461 0.0000 0.0000
0.0000 3.9461 0.0000
0.0000 0.0000 4.6355
Hf Be O
1 2 4
Direct
0.0000 0.0000 0.0000
0.0000 0.5000 0.5000
0.5000 0.0000 0.5000
0.2520 0.2520 0.2970
0.2520 0.7480 0.7030
0.7480 0.2520 0.7030
0.7480 0.7480 0.2970
```


# Li5AgHg2Pb2
Computed X-ray diffraction stick pattern, Cu Kα. Input: a cell relaxed with PBE.
Peak positions follow from Bragg's law for the DFT cell and can differ from measured ones.

Top 10 peaks for 10 to 80 degrees two-theta, most intense first:
| 2θ (°) | I (rel.) | h k l |
| --- | --- | --- |
| 24.9 | 100 | 3 1 0 |
| 37.4 | 77 | 3 1 1 |
| 27.5 | 60 | 0 0 1 |
| 33.6 | 30 | 3 3 0 |
| 11.1 | 26 | 1 1 0 |
| 44.0 | 26 | 3 3 1 |
| 42.4 | 20 | 4 0 1 |
| 31.6 | 19 | 4 0 0 |
| 28.5 | 17 | 3 2 0 |
| 56.5 | 17 | 6 0 1 |

Structural model:
```
Li5AgHg2Pb2
1.0
11.3080 0.0000 0.0000
0.0000 11.3080 0.0000
0.0000 0.0000 3.2435
Li Ag Hg Pb
10 2 4 4
Direct
0.0000 0.5000 0.0000
0.0396 0.1902 0.0000
0.1902 0.9604 0.0000
0.3098 0.4604 0.0000
0.4604 0.6902 0.0000
0.5000 0.0000 0.0000
0.5396 0.3098 0.0000
0.6902 0.5396 0.0000
0.8098 0.0396 0.0000
0.9604 0.8098 0.0000
0.0000 0.0000 0.5000
0.5000 0.5000 0.5000
0.1339 0.3661 0.5000
0.3661 0.8661 0.5000
0.6339 0.1339 0.5000
0.8661 0.6339 0.5000
0.1711 0.6711 0.5000
0.3289 0.1711 0.5000
0.6711 0.8289 0.5000
0.8289 0.3289 0.5000
```